[1]
The following is a calculated X-ray diffraction stick pattern of MoOs. It was derived from a GGA-PBE-relaxed structure, using Cu Kα.
Intensities are scaled so that the largest is 100.

Peak list (7 most intense, 5° ≤ 2θ ≤ 70°, sorted by position)
two_theta, d/Å, I/Imax
19.70, 4.507, 14
37.33, 2.409, 30
40.01, 2.254, 26
42.55, 2.125, 100
55.87, 1.646, 19
61.75, 1.502, 1
67.32, 1.391, 17

Structure:
abc: 2.7818 2.7818 4.5071
angles: 90.00 90.00 120.00
Fractional coordinates of all 2 atoms:
Mo: 0.0000 0.0000 0.0000
Os: 0.6667 0.3333 0.5000



[2]
The following is a calculated X-ray diffraction stick pattern of Ga2Te4O11. It was derived from a GGA-PBE-relaxed structure, using Cu Kα.
Intensities are scaled so that the largest is 100.

Peak list (10 most intense, 5° ≤ 2θ ≤ 70°, sorted by position)
two_theta, d/Å, I/Imax
21.92, 4.054, 88
23.06, 3.858, 59
27.14, 3.286, 100
27.25, 3.273, 39
27.44, 3.250, 67
28.76, 3.104, 68
29.63, 3.015, 52
33.16, 2.702, 27
34.28, 2.616, 54
47.18, 1.926, 27

Structure:
abc: 5.2446 6.6615 8.3939
angles: 75.41 89.07 69.83
Fractional coordinates of all 17 atoms:
Ga: 0.0000 0.0000 0.0000
Ga: 0.2898 0.3997 0.6164
Te: 0.0346 0.0246 0.4145
Te: 0.2420 0.4332 0.9997
Te: 0.5778 0.8705 0.8027
Te: 0.7122 0.6076 0.3447
O: 0.0175 0.2923 0.9409
O: 0.0377 0.3139 0.3046
O: 0.2737 0.1146 0.6619
O: 0.3050 0.5528 0.7739
O: 0.3708 0.8258 0.9898
O: 0.4163 0.8679 0.4149
O: 0.5613 0.3959 0.4676
O: 0.6885 0.0980 0.8489
O: 0.9122 0.9654 0.2222
O: 0.9420 0.6922 0.0096
O: 0.9478 0.6069 0.5155



[3]
The following is a calculated X-ray diffraction stick pattern of NdCd2Pd. It was derived from a GGA-PBE-relaxed structure, using Cu Kα.
Intensities are scaled so that the largest is 100.

Peak list (10 most intense, 5° ≤ 2θ ≤ 70°, sorted by position)
two_theta, d/Å, I/Imax
30.90, 2.894, 100
33.59, 2.668, 24
35.27, 2.545, 71
36.40, 2.468, 28
36.82, 2.441, 26
39.19, 2.299, 27
39.95, 2.257, 21
41.35, 2.184, 19
41.97, 2.153, 35
65.29, 1.429, 17

Structure:
abc: 5.5343 5.5343 8.4629
angles: 90.00 90.00 134.22
Fractional coordinates of all 8 atoms:
Nd: 0.0652 0.9348 0.7500
Nd: 0.9348 0.0652 0.2500
Cd: 0.3562 0.6438 0.5490
Cd: 0.3562 0.6438 0.9510
Cd: 0.6438 0.3562 0.0490
Cd: 0.6438 0.3562 0.4510
Pd: 0.2236 0.7764 0.2500
Pd: 0.7764 0.2236 0.7500



[4]
The following is a calculated X-ray diffraction stick pattern of Cs2ScInI6. It was derived from a GGA-PBE-relaxed structure, using Cu Kα.
Intensities are scaled so that the largest is 100.

Peak list (10 most intense, 5° ≤ 2θ ≤ 70°, sorted by position)
two_theta, d/Å, I/Imax
14.17, 6.251, 11
20.09, 4.420, 12
24.67, 3.609, 100
28.56, 3.126, 99
40.83, 2.210, 71
48.29, 1.885, 42
50.58, 1.805, 24
59.12, 1.563, 11
65.04, 1.434, 15
66.94, 1.398, 28

Structure:
abc: 8.8405 8.8405 8.8405
angles: 60.00 60.00 60.00
Fractional coordinates of all 10 atoms:
Cs: 0.2500 0.2500 0.2500
Cs: 0.7500 0.7500 0.7500
Sc: 0.0000 0.0000 0.0000
In: 0.5000 0.5000 0.5000
I: 0.2323 0.2323 0.7677
I: 0.2323 0.7677 0.2323
I: 0.2323 0.7677 0.7677
I: 0.7677 0.2323 0.2323
I: 0.7677 0.2323 0.7677
I: 0.7677 0.7677 0.2323



[5]
The following is a calculated X-ray diffraction stick pattern of Sr2Ti2O5. It was derived from a GGA-PBE-relaxed structure, using Cu Kα.
Intensities are scaled so that the largest is 100.

Peak list (10 most intense, 5° ≤ 2θ ≤ 70°, sorted by position)
two_theta, d/Å, I/Imax
11.26, 7.856, 5
31.81, 2.813, 58
32.02, 2.795, 100
39.40, 2.287, 26
45.61, 1.989, 38
46.23, 1.964, 18
56.81, 1.620, 39
57.21, 1.610, 19
66.48, 1.406, 11
66.96, 1.397, 21

Structure:
abc: 8.8054 8.8054 8.8054
angles: 142.75 53.71 142.73
Fractional coordinates of all 18 atoms:
Sr: 0.1318 0.0000 0.1318
Sr: 0.3706 0.0026 0.3680
Sr: 0.6345 0.0026 0.6320
Sr: 0.8682 0.0000 0.8682
Ti: 0.0197 0.5197 0.5000
Ti: 0.2513 0.5012 0.7501
Ti: 0.4863 0.4863 0.0000
Ti: 0.7511 0.5012 0.2499
O: 0.0086 0.0017 0.5074
O: 0.0086 0.5012 0.0069
O: 0.0847 0.4639 0.6208
O: 0.2608 0.0048 0.7440
O: 0.2608 0.5168 0.2560
O: 0.4173 0.5385 0.8788
O: 0.4943 0.0017 0.9931
O: 0.4943 0.5012 0.4926
O: 0.6598 0.5385 0.1212
O: 0.8431 0.4639 0.3792